(1)
The following is a simulated powder XRD pattern of CsCuPdSeS2. It was derived from a PBE-relaxed structure, using Cu Kα X-rays.

Main lines, most intense first (2θ from 10° to 80°):
30.6°, I = 100; 11.4°, I = 58; 35.1°, I = 44; 23.0°, I = 40; 20.8°, I = 35; 54.0°, I = 34; 39.7°, I = 28; 55.2°, I = 24; 48.6°, I = 21; 42.4°, I = 20

```
CsCuPdSeS2
1.0
1.888 -7.734 0.000
1.888 7.734 0.000
0.000 0.000 10.226
Cs Cu Pd Se S
2 2 2 2 4
Direct
0.248 0.752 0.750
0.752 0.248 0.250
0.456 0.544 0.250
0.544 0.456 0.750
0.000 0.000 0.000
0.000 0.000 0.500
0.054 0.946 0.250
0.946 0.054 0.750
0.403 0.597 0.044
0.403 0.597 0.456
0.597 0.403 0.544
0.597 0.403 0.956
```


(2)
The following is a simulated powder XRD pattern of CsCu3Te4Pd. It was derived from a PBE-relaxed structure, using Cu Kα X-rays.

Main lines, most intense first (2θ from 10° to 80°):
38.1°, I = 100; 23.1°, I = 89; 45.0°, I = 35; 18.8°, I = 29; 68.9°, I = 24; 32.9°, I = 23; 13.3°, I = 20; 51.2°, I = 17; 58.7°, I = 15; 55.0°, I = 14

```
CsCu3Te4Pd
1.0
6.677 0.000 0.000
0.000 6.677 0.000
0.000 0.000 6.677
Cs Cu Te Pd
1 3 4 1
Direct
0.000 0.000 0.000
0.000 0.500 0.500
0.500 0.000 0.500
0.500 0.500 0.000
0.282 0.282 0.282
0.282 0.718 0.718
0.718 0.282 0.718
0.718 0.718 0.282
0.500 0.500 0.500
```


(3)
The following is a simulated powder XRD pattern of CsPm2Cu3Se4S. It was derived from a PBE-relaxed structure, using Cu Kα X-rays.

Main lines, most intense first (2θ from 10° to 80°):
28.1°, I = 100; 28.6°, I = 91; 34.9°, I = 82; 30.5°, I = 81; 29.9°, I = 78; 43.6°, I = 75; 46.0°, I = 69; 38.8°, I = 49; 10.0°, I = 46; 27.0°, I = 43

```
CsPm2Cu3Se4S
1.0
2.075 -7.385 0.000
2.075 7.385 0.000
0.000 0.000 17.611
Cs Pm Cu Se S
2 4 6 8 2
Direct
0.065 0.935 0.750
0.935 0.065 0.250
0.193 0.807 0.094
0.193 0.807 0.406
0.807 0.193 0.594
0.807 0.193 0.906
0.333 0.667 0.750
0.415 0.585 0.027
0.415 0.585 0.473
0.585 0.415 0.527
0.585 0.415 0.973
0.667 0.333 0.250
0.164 0.836 0.570
0.164 0.836 0.930
0.443 0.557 0.613
0.443 0.557 0.887
0.557 0.443 0.113
0.557 0.443 0.387
0.836 0.164 0.070
0.836 0.164 0.430
0.230 0.770 0.250
0.770 0.230 0.750
```


(4)
The following is a simulated powder XRD pattern of CsPm2Cu3Se5. It was derived from a PBE-relaxed structure, using Cu Kα X-rays.

Main lines, most intense first (2θ from 10° to 80°):
28.4°, I = 100; 30.2°, I = 88; 29.8°, I = 72; 45.7°, I = 70; 43.2°, I = 69; 34.6°, I = 66; 28.0°, I = 63; 37.3°, I = 44; 49.4°, I = 36; 53.6°, I = 34

```
CsPm2Cu3Se5
1.0
2.094 -7.384 0.000
2.094 7.384 0.000
0.000 0.000 17.772
Cs Pm Cu Se
2 4 6 10
Direct
0.061 0.939 0.750
0.939 0.061 0.250
0.192 0.808 0.091
0.192 0.808 0.409
0.808 0.192 0.591
0.808 0.192 0.909
0.340 0.660 0.750
0.415 0.585 0.029
0.415 0.585 0.471
0.585 0.415 0.529
0.585 0.415 0.971
0.660 0.340 0.250
0.164 0.836 0.571
0.164 0.836 0.929
0.236 0.764 0.250
0.443 0.557 0.611
0.443 0.557 0.889
0.557 0.443 0.111
0.557 0.443 0.389
0.764 0.236 0.750
0.836 0.164 0.071
0.836 0.164 0.429
```


(5)
The following is a simulated powder XRD pattern of CsPm2CuTeSe3. It was derived from a PBE-relaxed structure, using Cu Kα X-rays.

Main lines, most intense first (2θ from 10° to 80°):
29.8°, I = 100; 27.9°, I = 81; 40.7°, I = 65; 41.9°, I = 35; 36.9°, I = 33; 23.6°, I = 33; 21.3°, I = 26; 26.5°, I = 26; 13.1°, I = 23; 40.1°, I = 22

```
CsPm2CuTeSe3
1.0
2.157 -7.540 0.000
2.157 7.540 0.000
0.000 0.000 15.033
Cs Pm Cu Te Se
2 4 2 2 6
Direct
0.122 0.878 0.750
0.878 0.122 0.250
0.366 0.634 0.555
0.366 0.634 0.945
0.634 0.366 0.055
0.634 0.366 0.445
0.167 0.833 0.250
0.833 0.167 0.750
0.431 0.569 0.750
0.569 0.431 0.250
0.000 0.000 0.000
0.000 0.000 0.500
0.255 0.745 0.108
0.255 0.745 0.392
0.745 0.255 0.608
0.745 0.255 0.892
```


(6)
The following is a simulated powder XRD pattern of Cs2Pm4Cu4Te9. It was derived from a PBE-relaxed structure, using Cu Kα X-rays.

Main lines, most intense first (2θ from 10° to 80°):
26.7°, I = 100; 40.5°, I = 75; 28.4°, I = 65; 26.8°, I = 59; 26.2°, I = 59; 28.1°, I = 42; 25.0°, I = 42; 38.0°, I = 38; 11.8°, I = 34; 31.3°, I = 31

```
Cs2Pm4Cu4Te9
1.0
7.884 -2.230 0.000
7.884 2.230 0.000
-5.588 0.000 17.164
Cs Pm Cu Te
2 4 4 9
Direct
0.031 0.031 0.273
0.969 0.969 0.727
0.228 0.228 0.100
0.346 0.346 0.445
0.654 0.654 0.555
0.772 0.772 0.900
0.247 0.247 0.735
0.422 0.422 0.024
0.578 0.578 0.976
0.753 0.753 0.265
0.000 0.000 0.500
0.133 0.133 0.922
0.298 0.298 0.604
0.343 0.343 0.273
0.399 0.399 0.873
0.601 0.601 0.127
0.657 0.657 0.727
0.702 0.702 0.396
0.867 0.867 0.078
```


(7)
The following is a simulated powder XRD pattern of CsPr2CuSe3S. It was derived from a PBE-relaxed structure, using Cu Kα X-rays.

Main lines, most intense first (2θ from 10° to 80°):
30.2°, I = 100; 28.2°, I = 95; 21.7°, I = 69; 41.2°, I = 67; 32.8°, I = 46; 42.5°, I = 44; 27.1°, I = 36; 37.7°, I = 35; 24.9°, I = 34; 27.6°, I = 29

```
CsPr2CuSe3S
1.0
2.127 -7.484 0.000
2.127 7.484 0.000
0.000 0.000 14.658
Cs Pr Cu Se S
2 4 2 6 2
Direct
0.099 0.901 0.750
0.901 0.099 0.250
0.366 0.634 0.565
0.366 0.634 0.935
0.634 0.366 0.065
0.634 0.366 0.435
0.161 0.839 0.250
0.839 0.161 0.750
0.000 0.000 0.000
0.000 0.000 0.500
0.261 0.739 0.113
0.261 0.739 0.387
0.739 0.261 0.613
0.739 0.261 0.887
0.416 0.584 0.750
0.584 0.416 0.250
```


(8)
The following is a simulated powder XRD pattern of CsPr2Cu3TeS4. It was derived from a PBE-relaxed structure, using Cu Kα X-rays.

Main lines, most intense first (2θ from 10° to 80°):
29.5°, I = 100; 30.1°, I = 83; 28.8°, I = 79; 26.7°, I = 68; 45.3°, I = 63; 43.3°, I = 56; 34.7°, I = 52; 25.3°, I = 50; 38.0°, I = 44; 12.3°, I = 39

```
CsPr2Cu3TeS4
1.0
2.088 -7.175 0.000
2.088 7.175 0.000
0.000 0.000 18.177
Cs Pr Cu Te S
2 4 6 2 8
Direct
0.047 0.953 0.750
0.953 0.047 0.250
0.187 0.813 0.083
0.187 0.813 0.417
0.813 0.187 0.583
0.813 0.187 0.917
0.345 0.655 0.750
0.414 0.586 0.035
0.414 0.586 0.465
0.586 0.414 0.535
0.586 0.414 0.965
0.655 0.345 0.250
0.245 0.755 0.250
0.755 0.245 0.750
0.165 0.835 0.569
0.165 0.835 0.931
0.443 0.557 0.600
0.443 0.557 0.900
0.557 0.443 0.100
0.557 0.443 0.400
0.835 0.165 0.069
0.835 0.165 0.431
```